[1]
Diffraction record for Er2ScAg2. The XRD peak list is calculated, not measured: it uses the PBE geometry in Alexandria and CuKα.

Top 6 peaks for 10° ≤ 2θ ≤ 80°, sorted by position:
d/Å, 2theta, intensity, h k l
3.751, 23.7, 49, 1 1 0
2.789, 32.1, 100, 1 1 2
2.510, 35.8, 56, 0 2 2
2.489, 36.1, 70, 1 2 1
2.390, 37.6, 48, 1 0 3
2.337, 38.5, 42, 2 0 0

Crystal structure
Cell lengths 4.674, 6.286, 8.341 Å; angles 90.00, 90.00, 90.00 degrees
Space group Immm (No. 71)
Symmetry-distinct sites (fractional):
Er 0.000 0.000 0.203
Sc 0.000 0.500 0.000
Ag 0.000 0.279 0.500

[2]
Diffraction record for Tb6Pr3Tm2. The XRD peak list is calculated, not measured: it uses the PBE geometry in Alexandria and CuKα.

Top 6 peaks for 10° ≤ 2θ ≤ 80°, sorted by position:
d/Å, 2theta, intensity, h k l
2.932, 30.5, 100, 0 1 11
2.920, 30.6, 32, 0 0 33
2.536, 35.4, 66, 1 0 22
1.796, 50.8, 24, 1 1 0
1.791, 51.0, 22, 0 1 44
1.531, 60.5, 42, 2 0 11

Crystal structure
Cell lengths 3.5925, 3.5925, 96.3673 Å; angles 90.00, 90.00, 120.00 degrees
Space group R-3m (No. 166, hexagonal axes)
Symmetry-distinct sites (fractional):
Tb 0.0000 0.0000 0.0926
Tb 0.0000 0.0000 0.1817
Tb 0.0000 0.0000 0.3641
Pr 0.0000 0.0000 0.0000
Pr 0.0000 0.0000 0.2718
Tm 0.0000 0.0000 0.4554

[3]
Diffraction record for Zn2ReO. The XRD peak list is calculated, not measured: it uses the PBE geometry in Alexandria and CuKα.

Top 6 peaks for 10° ≤ 2θ ≤ 80°, sorted by position:
d/Å, 2theta, intensity, h k l
3.528, 25.2, 27, 1 0 1
2.642, 33.9, 71, 2 2 0
2.565, 35.0, 100, 2 1 1
2.115, 42.8, 37, 3 0 1
1.870, 48.7, 58, 1 1 2
1.527, 60.6, 31, 3 1 2

Crystal structure
Cell lengths 7.473, 7.473, 4.002 Å; angles 90.00, 90.00, 90.00 degrees
Space group I-42d (No. 122)
Symmetry-distinct sites (fractional):
Zn 0.165 0.250 0.125
Re 0.000 0.000 0.500
O 0.000 0.000 0.000

[4]
Diffraction record for NaIn2Pb10. The XRD peak list is calculated, not measured: it uses the PBE geometry in Alexandria and CuKα.

Top 6 peaks for 10° ≤ 2θ ≤ 80°, sorted by position:
d/Å, 2theta, intensity, h k l
2.874, 31.1, 100, 0 4 4
2.833, 31.6, 43, 1 5 1
2.802, 31.9, 52, 2 2 2
2.547, 35.2, 63, 0 6 2
2.528, 35.5, 48, 2 0 4
2.509, 35.8, 48, 2 4 0

Crystal structure
Cell lengths 6.420, 16.085, 16.412 Å; angles 90.00, 90.00, 90.00 degrees
Space group Fmmm (No. 69)
Symmetry-distinct sites (fractional):
Na 0.000 0.000 0.000
In 0.250 0.000 0.250
Pb 0.000 0.106 0.391
Pb 0.000 0.176 0.178
Pb 0.250 0.250 0.000

[5]
Diffraction record for RbHo2Cu2Se4. The XRD peak list is calculated, not measured: it uses the PBE geometry in Alexandria and CuKα.

Top 6 peaks for 10° ≤ 2θ ≤ 80°, sorted by position:
d/Å, 2theta, intensity, h k l
8.454, 10.5, 100, 0 0 1
4.538, 19.6, 19, 2 0 -2
2.927, 30.5, 30, 1 1 -2
2.774, 32.3, 23, 3 1 -2
2.573, 34.9, 19, 3 1 1
2.374, 37.9, 29, 5 1 -1

Crystal structure
Cell lengths 15.298, 3.788, 9.283 Å; angles 90.00, 114.40, 90.00 degrees
Space group C2/m (No. 12)
Symmetry-distinct sites (fractional):
Rb 0.000 0.000 0.000
Ho 0.114 0.000 0.596
Cu 0.189 0.500 0.412
Se 0.009 0.500 0.322
Se 0.234 0.000 0.276

[6]
Diffraction record for Ag2SO4F. The XRD peak list is calculated, not measured: it uses the PBE geometry in Alexandria and CuKα.

Top 6 peaks for 10° ≤ 2θ ≤ 80°, sorted by position:
d/Å, 2theta, intensity, h k l
3.567, 25.0, 46, 1 0 1
3.520, 25.3, 100, 0 2 0
3.467, 25.7, 61, 1 1 0
2.621, 34.2, 92, 1 1 2
2.495, 36.0, 47, 0 1 3
1.876, 48.5, 39, 1 2 3

Crystal structure
Cell lengths 3.984, 7.039, 8.004 Å; angles 90.00, 90.00, 90.00 degrees
Space group I222 (No. 23)
Symmetry-distinct sites (fractional):
Ag 0.000 0.000 0.177
S 0.000 0.500 0.000
O 0.201 0.371 0.891
F 0.000 0.500 0.500

[7]
Diffraction record for RbTl2Ni2. The XRD peak list is calculated, not measured: it uses the PBE geometry in Alexandria and CuKα.

Top 6 peaks for 10° ≤ 2θ ≤ 80°, sorted by position:
d/Å, 2theta, intensity, h k l
5.220, 17.0, 36, 0 0 2
2.859, 31.3, 100, 1 1 2
2.416, 37.2, 47, 2 0 0
2.193, 41.2, 16, 2 0 2
2.074, 43.6, 31, 1 1 4
1.467, 63.4, 27, 3 1 2

Crystal structure
Cell lengths 4.832, 4.832, 10.439 Å; angles 90.00, 90.00, 90.00 degrees
Space group I4/mmm (No. 139)
Symmetry-distinct sites (fractional):
Rb 0.000 0.000 0.000
Tl 0.000 0.500 0.250
Ni 0.000 0.000 0.386

[8]
Diffraction record for Ac12Ge5Ir2. The XRD peak list is calculated, not measured: it uses the PBE geometry in Alexandria and CuKα.

Top 6 peaks for 10° ≤ 2θ ≤ 80°, sorted by position:
d/Å, 2theta, intensity, h k l
3.795, 23.4, 100, 4 0 -2
3.160, 28.2, 92, 0 2 2
3.158, 28.3, 98, 2 2 -2
2.982, 30.0, 63, 4 2 0
2.859, 31.3, 72, 6 0 0
2.345, 38.4, 59, 6 2 -2

Crystal structure
Cell lengths 17.872, 8.305, 10.149 Å; angles 90.00, 106.33, 90.00 degrees
Space group C2/m (No. 12)
Symmetry-distinct sites (fractional):
Ac 0.002 0.000 0.224
Ac 0.011 0.500 0.814
Ac 0.146 0.250 0.568
Ac 0.172 0.233 0.093
Ge 0.000 0.500 0.500
Ge 0.189 0.000 0.831
Ge 0.201 0.000 0.366
Ir 0.000 0.234 0.000

[9]
Diffraction record for U3Tl3Te8Rh. The XRD peak list is calculated, not measured: it uses the PBE geometry in Alexandria and CuKα.

Top 6 peaks for 10° ≤ 2θ ≤ 80°, sorted by position:
d/Å, 2theta, intensity, h k l
8.625, 10.3, 14, 0 0 3
3.170, 28.2, 100, 0 2 4
2.417, 37.2, 40, 2 0 8
2.099, 43.1, 33, 2 2 0
1.750, 52.3, 17, 4 0 4
1.344, 70.0, 14, 2 4 4

Crystal structure
Cell lengths 8.3975, 8.3975, 25.8761 Å; angles 90.00, 90.00, 120.00 degrees
Space group R-3m (No. 166, hexagonal axes)
Symmetry-distinct sites (fractional):
U 0.0000 0.5000 0.0000
Tl 0.0000 0.5000 0.5000
Te 0.0000 0.0000 0.2597
Te 0.0280 0.5140 0.7333
Rh 0.0000 0.0000 0.0000

[10]
Diffraction record for Ti6NbBi2. The XRD peak list is calculated, not measured: it uses the PBE geometry in Alexandria and CuKα.

Top 6 peaks for 10° ≤ 2θ ≤ 80°, sorted by position:
d/Å, 2theta, intensity, h k l
3.791, 23.5, 100, 0 3 1
3.138, 28.4, 64, 1 1 1
2.601, 34.5, 78, 1 3 1
2.413, 37.3, 65, 1 2 2
2.179, 41.4, 64, 0 3 3
2.038, 44.4, 61, 1 4 2

Crystal structure
Cell lengths 3.575, 13.161, 7.533 Å; angles 90.00, 90.00, 90.00 degrees
Space group Amm2 (No. 38)
Symmetry-distinct sites (fractional):
Ti 0.000 0.000 0.000
Ti 0.000 0.125 0.632
Ti 0.500 0.000 0.371
Ti 0.500 0.191 0.944
Nb 0.500 0.000 0.751
Bi 0.000 0.166 0.254

[11]
Diffraction record for K8LaP4Se16. The XRD peak list is calculated, not measured: it uses the PBE geometry in Alexandria and CuKα.

Top 6 peaks for 10° ≤ 2θ ≤ 80°, sorted by position:
d/Å, 2theta, intensity, h k l
5.624, 15.8, 48, 1 1 2
3.258, 27.4, 49, 2 2 2
3.216, 27.7, 50, 0 0 6
3.029, 29.5, 50, 3 0 1
2.813, 31.8, 100, 2 2 4
2.709, 33.1, 75, 1 3 4

Crystal structure
Cell lengths 9.200, 10.508, 19.297 Å; angles 90.00, 90.00, 90.00 degrees
Space group I222 (No. 23)
Symmetry-distinct sites (fractional):
K 0.000 0.000 0.203
K 0.000 0.500 0.245
K 0.120 0.254 0.584
La 0.000 0.500 0.000
P 0.209 0.259 0.875
Se 0.030 0.283 0.110
Se 0.199 0.074 0.432
Se 0.202 0.419 0.422
Se 0.230 0.242 0.264

[12]
Diffraction record for BaCdGaAg6. The XRD peak list is calculated, not measured: it uses the PBE geometry in Alexandria and CuKα.

Top 6 peaks for 10° ≤ 2θ ≤ 80°, sorted by position:
d/Å, 2theta, intensity, h k l
2.938, 30.4, 80, 1 2 3
2.926, 30.6, 63, 0 2 4
2.836, 31.6, 60, 2 0 2
2.493, 36.0, 100, 2 2 0
2.252, 40.0, 77, 0 2 6
2.180, 41.4, 78, 0 4 0

Crystal structure
Cell lengths 6.077, 8.720, 15.783 Å; angles 90.00, 90.00, 90.00 degrees
Space group Imma (No. 74)
Symmetry-distinct sites (fractional):
Ba 0.000 0.250 0.004
Cd 0.000 0.000 0.500
Ga 0.250 0.250 0.250
Ag 0.000 0.250 0.388
Ag 0.000 0.250 0.753
Ag 0.245 0.020 0.843

[13]
Diffraction record for TeF. The XRD peak list is calculated, not measured: it uses the PBE geometry in Alexandria and CuKα.

Top 6 peaks for 10° ≤ 2θ ≤ 80°, sorted by position:
d/Å, 2theta, intensity, h k l
6.346, 14.0, 58, 0 1 0
5.015, 17.7, 45, 1 1 0
4.466, 19.9, 100, 0 1 1
3.017, 29.6, 68, 2 1 1
2.504, 35.9, 78, 3 0 1
1.960, 46.3, 39, 3 1 2

Crystal structure
Cell lengths 8.183, 6.346, 6.285 Å; angles 90.00, 90.00, 90.00 degrees
Space group Pmn2_1 (No. 31)
Symmetry-distinct sites (fractional):
Te 0.000 0.063 0.000
Te 0.188 0.209 0.636
F 0.000 0.975 0.485
F 0.198 0.570 0.301